1.
The following is a theoretical powder X-ray diffraction pattern of Pu2TlAg6. It was derived from the GGA-PBE geometry in Alexandria, using Cu Kα, 1.54184 Å.
Intensities are scaled so that the largest is 100.

Main lines, low angle first (10° ≤ 2θ ≤ 90°):
d (Å)  2θ (°)  Rel. int.
4.294  20.7  19.3
2.543  35.3  100.0
2.479  36.2  83.4
2.147  42.1  3.4
1.775  51.5  34.2
1.623  56.7  3.1
1.578  58.5  6.8
1.443  64.6  34.5
1.431  65.2  14.7
1.331  70.8  22.9
1.239  76.9  9.2
1.114  87.6  15.6

```
Pu2TlAg6
1.0
4.294 2.479 3.156
-4.294 2.479 3.156
0.000 -4.958 3.156
Pu Tl Ag
2 1 6
Direct
0.162 0.162 0.162
0.838 0.838 0.838
0.500 0.500 0.500
0.000 0.333 0.667
0.000 0.667 0.333
0.333 0.000 0.667
0.333 0.667 0.000
0.667 0.000 0.333
0.667 0.333 0.000
```



2.
The following is a theoretical powder X-ray diffraction pattern of Pr8AsP3Se4. It was derived from the GGA-PBE geometry in Alexandria, using Cu Kα, 1.54184 Å.
Intensities are scaled so that the largest is 100.

Main lines, low angle first (10° ≤ 2θ ≤ 90°):
d (Å)  2θ (°)  Rel. int.
3.514  25.3  7.2
3.460  25.7  22.3
3.008  29.7  100.0
2.139  42.2  36.3
2.115  42.8  37.1
1.812  50.4  6.9
1.730  52.9  19.5
1.504  61.7  11.7
1.351  69.6  15.2
1.339  70.3  16.5
1.226  78.0  11.9
1.221  78.3  6.2

```
Pr8AsP3Se4
1.0
4.230 2.442 7.027
-4.230 2.442 7.027
0.000 -4.884 7.027
Pr As P Se
8 1 3 4
Direct
0.240 0.747 0.747
0.244 0.244 0.244
0.253 0.253 0.760
0.253 0.760 0.253
0.747 0.240 0.747
0.747 0.747 0.240
0.756 0.756 0.756
0.760 0.253 0.253
0.500 0.500 0.500
0.000 0.000 0.500
0.000 0.500 0.000
0.500 0.000 0.000
0.000 0.000 0.000
0.000 0.500 0.500
0.500 0.000 0.500
0.500 0.500 0.000
```



3.
The following is a theoretical powder X-ray diffraction pattern of Tl10AsAu4. It was derived from the GGA-PBE geometry in Alexandria, using Cu Kα, 1.54184 Å.
Intensities are scaled so that the largest is 100.

Main lines, low angle first (10° ≤ 2θ ≤ 90°):
d (Å)  2θ (°)  Rel. int.
4.076  21.8  31.9
3.520  25.3  37.6
2.499  35.9  100.0
2.479  36.2  97.2
2.124  42.6  11.9
1.760  52.0  35.1
1.443  64.6  18.6
1.439  64.8  36.6
1.427  65.4  17.2
1.250  76.2  11.7
1.116  87.4  16.9
1.110  87.9  16.2

```
Tl10AsAu4
1.0
2.499 1.443 20.160
-2.499 1.443 20.160
0.000 -2.886 20.160
Tl As Au
10 1 4
Direct
0.049 0.049 0.049
0.149 0.149 0.149
0.251 0.251 0.251
0.350 0.350 0.350
0.449 0.449 0.449
0.551 0.551 0.551
0.650 0.650 0.650
0.749 0.749 0.749
0.851 0.851 0.851
0.951 0.951 0.951
0.500 0.500 0.500
0.099 0.099 0.099
0.300 0.300 0.300
0.700 0.700 0.700
0.901 0.901 0.901
```



4.
The following is a theoretical powder X-ray diffraction pattern of TcH2IO. It was derived from the GGA-PBE geometry in Alexandria, using Cu Kα, 1.54184 Å.
Intensities are scaled so that the largest is 100.

Main lines, low angle first (10° ≤ 2θ ≤ 90°):
d (Å)  2θ (°)  Rel. int.
2.926  30.6  76.0
2.780  32.2  100.0
2.069  43.8  28.8
1.876  48.5  10.5
1.660  55.4  42.9
1.580  58.4  22.9
1.463  63.6  9.0
1.390  67.4  15.1
1.309  72.2  12.0
1.295  73.1  9.4
1.154  83.9  8.2
1.098  89.2  11.8

```
TcH2IO
1.0
4.138 0.000 0.000
0.000 4.138 0.000
0.000 0.000 3.753
Tc H I O
1 2 1 1
Direct
0.000 0.000 0.000
0.000 0.500 0.000
0.500 0.000 0.000
0.500 0.500 0.500
0.000 0.000 0.500
```



5.
The following is a theoretical powder X-ray diffraction pattern of Li2ReIr. It was derived from the GGA-PBE geometry in Alexandria, using Cu Kα, 1.54184 Å.
Intensities are scaled so that the largest is 100.

Main lines, low angle first (10° ≤ 2θ ≤ 90°):
d (Å)  2θ (°)  Rel. int.
3.146  28.4  23.1
2.360  38.1  32.0
2.334  38.6  52.1
2.283  39.5  30.2
2.219  40.7  27.4
2.146  42.1  100.0
1.913  47.5  41.5
1.888  48.2  11.4
1.641  56.0  21.3
1.317  71.6  19.7
1.290  73.4  19.7
1.177  81.9  11.3

```
Li2ReIr
1.0
2.836 0.000 0.000
0.000 4.566 0.000
0.000 0.000 9.438
Li Re Ir
4 2 2
Direct
0.000 0.000 0.000
0.000 0.500 0.281
0.500 0.000 0.281
0.500 0.500 0.000
0.000 0.500 0.752
0.500 0.000 0.752
0.000 0.000 0.516
0.500 0.500 0.516
```



6.
The following is a theoretical powder X-ray diffraction pattern of SrYP4. It was derived from the GGA-PBE geometry in Alexandria, using Cu Kα, 1.54184 Å.
Intensities are scaled so that the largest is 100.

Main lines, low angle first (10° ≤ 2θ ≤ 90°):
d (Å)  2θ (°)  Rel. int.
4.484  19.8  19.8
2.746  32.6  72.7
2.342  38.4  100.0
2.242  40.2  12.1
1.782  51.3  5.7
1.585  58.2  26.7
1.495  62.1  31.3
1.373  68.3  22.4
1.313  71.9  4.1
1.228  77.8  11.2
1.184  81.2  10.9
1.171  82.4  4.3

```
SrYP4
1.0
0.000 3.883 3.883
3.883 0.000 3.883
3.883 3.883 0.000
Sr Y P
1 1 4
Direct
0.000 0.000 0.000
0.750 0.750 0.750
0.378 0.378 0.378
0.378 0.378 0.865
0.378 0.865 0.378
0.865 0.378 0.378
```



7.
The following is a theoretical powder X-ray diffraction pattern of Te3Se. It was derived from the GGA-PBE geometry in Alexandria, using Cu Kα, 1.54184 Å.
Intensities are scaled so that the largest is 100.

Main lines, low angle first (10° ≤ 2θ ≤ 90°):
d (Å)  2θ (°)  Rel. int.
3.112  28.7  100.0
2.210  40.8  38.2
2.191  41.2  37.2
1.802  50.7  20.3
1.782  51.3  6.5
1.556  59.4  12.5
1.396  67.0  17.3
1.387  67.5  16.9
1.276  74.4  6.4
1.272  74.6  12.7
1.262  75.3  6.2
1.105  88.5  4.2

```
Te3Se
1.0
8.839 0.000 0.000
-4.419 7.655 0.000
0.000 0.000 5.345
Te Se
9 3
Direct
0.000 0.500 0.000
0.167 0.333 0.333
0.167 0.833 0.333
0.333 0.167 0.667
0.500 0.000 0.000
0.500 0.500 0.000
0.667 0.833 0.333
0.833 0.167 0.667
0.833 0.667 0.667
0.000 0.000 0.000
0.333 0.667 0.667
0.667 0.333 0.333
```



8.
The following is a theoretical powder X-ray diffraction pattern of Er2AlSn3. It was derived from the GGA-PBE geometry in Alexandria, using Cu Kα, 1.54184 Å.
Intensities are scaled so that the largest is 100.

Main lines, low angle first (10° ≤ 2θ ≤ 90°):
d (Å)  2θ (°)  Rel. int.
4.545  19.5  20.8
3.254  27.4  100.0
2.750  32.6  29.0
2.724  32.9  24.2
2.690  33.3  49.2
2.421  37.1  40.6
2.366  38.0  75.9
2.330  38.6  20.0
2.316  38.9  21.6
1.677  54.7  18.9
1.443  64.6  19.4
1.379  68.0  22.2

```
Er2AlSn3
1.0
6.592 -4.122 0.000
6.592 4.122 0.000
0.000 0.000 5.984
Er Al Sn
4 2 6
Direct
0.047 0.687 0.750
0.313 0.953 0.750
0.687 0.047 0.250
0.953 0.313 0.250
0.479 0.521 0.250
0.521 0.479 0.750
0.142 0.858 0.250
0.307 0.307 0.000
0.307 0.307 0.500
0.693 0.693 0.000
0.693 0.693 0.500
0.858 0.142 0.750
```